Calculated powder diffraction line list of CsNaAc2O4 for Cu Kα X-rays, from a GGA-PBE-relaxed structure.
Intensities are scaled so that the largest is 100.

Structure:
```
data_CsNaAc2O4
_chemical_formula_sum 'Cs4 Na4 Ac8 O16'
_symmetry_space_group_name_H-M 'C m c m'
_symmetry_Int_Tables_number 63
_symmetry_space_group_name_Hall '-C 2c 2'
_cell_length_a 3.9370
_cell_length_b 12.9850
_cell_length_c 13.1161
_cell_angle_alpha 90.00
_cell_angle_beta 90.00
_cell_angle_gamma 90.00
loop_
_atom_site_label
_atom_site_type_symbol
_atom_site_fract_x
_atom_site_fract_y
_atom_site_fract_z
_atom_site_occupancy
Cs1 Cs 0.0000 0.0855 0.2500 1
Na1 Na 0.0000 0.1922 0.7500 1
Ac1 Ac 0.0000 0.3670 0.0566 1
O1 O 0.0000 0.0000 0.0000 1
O2 O 0.0000 0.2478 0.5889 1
O3 O 0.0000 0.3991 0.2500 1
```

Main lines, low angle first (2θ = 5–70°):
d_spacing, 2θ/deg, I_rel
6.558, 13.5, 27
3.626, 24.6, 100
3.267, 27.3, 58
3.246, 27.5, 31
2.912, 30.7, 36
2.843, 31.5, 29
2.662, 33.7, 32
2.153, 42.0, 25
1.949, 46.6, 25
1.941, 46.8, 36